[1]
Theoretical XRD peak list of Na2VBAsO7 for CuKα, from a crystal structure in the Materials Project, relaxed with GGA+U.

Most intense lines, 10 to 90 degrees two-theta, most intense first:
d 3.705, I 100.0; d 3.808, I 90.1; d 2.797, I 79.8; d 3.291, I 60.1; d 2.691, I 57.6; d 5.383, I 46.6; d 2.739, I 38.3; d 3.105, I 36.7

Structural model:
Cell lengths 5.6018, 6.5827, 9.3708 Å; angles 90.00, 93.67, 90.00 degrees
Sites, in units of the cell vectors:
Na: 0.2362 0.0086 0.2974
Na: 0.2362 0.4914 0.2974
Na: 0.7638 0.5086 0.7026
Na: 0.7638 0.9914 0.7026
V: 0.2181 0.7500 0.8308
V: 0.7819 0.2500 0.1692
B: 0.2766 0.7500 0.5787
B: 0.7234 0.2500 0.4213
As: 0.2781 0.2500 0.9423
As: 0.7219 0.7500 0.0577
O: 0.0538 0.7500 0.6463
O: 0.1278 0.2500 0.0948
O: 0.1940 0.0449 0.8355
O: 0.1940 0.4551 0.8355
O: 0.3109 0.7500 0.4421
O: 0.4159 0.7500 0.0232
O: 0.4573 0.7500 0.6961
O: 0.5427 0.2500 0.3039
O: 0.5841 0.2500 0.9768
O: 0.6891 0.2500 0.5579
O: 0.8060 0.5449 0.1645
O: 0.8060 0.9551 0.1645
O: 0.8722 0.7500 0.9052
O: 0.9462 0.2500 0.3537

[2]
Theoretical XRD peak list of Na6V2B4AsO16 for CuKα, from a crystal structure in the Materials Project, relaxed with GGA+U.

Most intense lines, 10 to 90 degrees two-theta, most intense first:
d 4.254, I 100.0; d 2.715, I 81.7; d 2.494, I 53.4; d 4.988, I 31.0; d 1.629, I 30.9; d 1.976, I 18.4; d 4.073, I 17.2; d 1.364, I 16.5

Structural model:
Cell lengths 9.9767, 9.9767, 9.9767 Å; angles 60.00, 60.00, 60.00 degrees
Sites, in units of the cell vectors:
Na: 0.0875 0.0875 0.6625
Na: 0.0875 0.6625 0.0875
Na: 0.0875 0.6625 0.6625
Na: 0.3375 0.3375 0.9125
Na: 0.3375 0.9125 0.3375
Na: 0.3375 0.9125 0.9125
Na: 0.6625 0.0875 0.0875
Na: 0.6625 0.0875 0.6625
Na: 0.6625 0.6625 0.0875
Na: 0.9125 0.3375 0.3375
Na: 0.9125 0.3375 0.9125
Na: 0.9125 0.9125 0.3375
V: 0.0000 0.5000 0.5000
V: 0.5000 0.0000 0.5000
V: 0.5000 0.5000 0.0000
V: 0.5000 0.5000 0.5000
B: 0.2896 0.2896 0.2896
B: 0.2896 0.2896 0.6312
B: 0.2896 0.6312 0.2896
B: 0.3688 0.7104 0.7104
B: 0.6312 0.2896 0.2896
B: 0.7104 0.3688 0.7104
B: 0.7104 0.7104 0.3688
B: 0.7104 0.7104 0.7104
As: 0.1250 0.1250 0.1250
As: 0.8750 0.8750 0.8750
O: 0.0546 0.0546 0.0546
O: 0.0546 0.0546 0.3363
O: 0.0546 0.3363 0.0546
O: 0.1345 0.3270 0.6350
O: 0.1345 0.4034 0.3270
O: 0.1345 0.6350 0.4034
O: 0.3270 0.1345 0.4034
O: 0.3270 0.4034 0.6350
O: 0.3270 0.6350 0.1345
O: 0.3363 0.0546 0.0546
O: 0.3650 0.5966 0.8655
O: 0.3650 0.6730 0.5966
O: 0.3650 0.8655 0.6730
O: 0.4034 0.1345 0.6350
O: 0.4034 0.3270 0.1345
O: 0.4034 0.6350 0.3270
O: 0.5966 0.3650 0.6730
O: 0.5966 0.6730 0.8655
O: 0.5966 0.8655 0.3650
O: 0.6350 0.1345 0.3270
O: 0.6350 0.3270 0.4034
O: 0.6350 0.4034 0.1345
O: 0.6637 0.9454 0.9454
O: 0.6730 0.3650 0.8655
O: 0.6730 0.5966 0.3650
O: 0.6730 0.8655 0.5966
O: 0.8655 0.3650 0.5966
O: 0.8655 0.5966 0.6730
O: 0.8655 0.6730 0.3650
O: 0.9454 0.6637 0.9454
O: 0.9454 0.9454 0.6637
O: 0.9454 0.9454 0.9454

[3]
Theoretical XRD peak list of BaCoAs2O7 for CuKα, from a crystal structure in the Materials Project, relaxed with GGA+U.

Most intense lines, 10 to 90 degrees two-theta, most intense first:
d 3.740, I 100.0; d 3.072, I 97.0; d 3.197, I 89.5; d 4.050, I 58.7; d 2.770, I 57.3; d 3.294, I 49.7; d 3.170, I 48.7; d 2.638, I 44.0

Structural model:
Cell lengths 5.5809, 7.7191, 7.9797 Å; angles 102.88, 92.92, 95.44 degrees
Sites, in units of the cell vectors:
Ba: 0.1913 0.2802 0.4288
Ba: 0.8087 0.7198 0.5712
Co: 0.1831 0.1132 0.8977
Co: 0.8169 0.8868 0.1023
As: 0.2941 0.6884 0.8939
As: 0.3132 0.7720 0.2900
As: 0.6868 0.2280 0.7100
As: 0.7059 0.3116 0.1061
O: 0.0778 0.9012 0.2993
O: 0.0963 0.8527 0.9107
O: 0.1904 0.5154 0.7325
O: 0.2697 0.6089 0.0876
O: 0.3076 0.6559 0.4468
O: 0.4104 0.1093 0.7032
O: 0.4132 0.2215 0.1073
O: 0.5868 0.7785 0.8927
O: 0.5896 0.8907 0.2968
O: 0.6924 0.3441 0.5532
O: 0.7303 0.3911 0.9124
O: 0.8096 0.4846 0.2675
O: 0.9037 0.1473 0.0893
O: 0.9222 0.0988 0.7007

[4]
Theoretical XRD peak list of BaCo2As2O8 for CuKα, from a crystal structure in the Materials Project, relaxed with GGA+U.

Most intense lines, 10 to 90 degrees two-theta, most intense first:
d 2.491, I 100.0; d 3.304, I 68.4; d 3.217, I 62.8; d 3.204, I 58.4; d 2.535, I 57.3; d 2.707, I 57.1; d 4.069, I 45.5; d 2.764, I 42.3

Structural model:
Cell lengths 4.9804, 4.9870, 8.5427 Å; angles 89.50, 74.02, 61.19 degrees
Sites, in units of the cell vectors:
Ba: 0.0000 0.0000 0.0000
Co: 0.3309 0.8285 0.4945
Co: 0.6678 0.1713 0.5060
As: 0.1516 0.4184 0.2846
As: 0.8499 0.5793 0.7150
O: 0.1060 0.7751 0.3443
O: 0.2200 0.5674 0.6514
O: 0.2841 0.3518 0.0757
O: 0.4401 0.1138 0.3551
O: 0.5616 0.8831 0.6446
O: 0.7163 0.6484 0.9237
O: 0.7827 0.4272 0.3474
O: 0.8979 0.2214 0.6551